ScCr4Cl: calculated X-ray diffraction stick pattern (copper Kα), based on a cell relaxed with PBE.

Principal peaks in the range 2θ = 5–70°, sorted by position:
2θ/deg  I_rel
22.0  20
36.2  20
42.8  100
44.8  50
52.2  9
57.3  4
65.2  6
69.7  27

Structural model:
```
data_ScCr4Cl
_chemical_formula_sum 'Sc4 Cr16 Cl4'
_cell_length_a 7.013
_cell_length_b 7.013
_cell_length_c 7.013
_cell_angle_alpha 90.00
_cell_angle_beta 90.00
_cell_angle_gamma 90.00
_symmetry_space_group_name_H-M 'F -4 3 m'
_symmetry_Int_Tables_number 216
_symmetry_space_group_name_Hall 'F -4 2 3'
loop_
_atom_site_label
_atom_site_fract_x
_atom_site_fract_y
_atom_site_fract_z
Sc1 0.000 0.000 0.000
Cr1 0.124 0.124 0.376
Cl1 0.250 0.250 0.750
```